No. 1
Li2Ni3TeO8: simulated powder diffraction line list (Cu Kα), based on a crystal structure in the Materials Project, relaxed with PBE+U.

Structural model:
Cell: 5.9081 5.9081 14.8804 Å, 90.00 90.00 120.00°
Space group R-3m (No. 166, hexagonal axes)
Unique sites:
Li  0.0000  0.0000  0.1345 x6
Ni  0.0000  0.5000  0.0000 x9
Te  0.0000  0.0000  0.5000 x3
O  0.0000  0.0000  0.2704 x6
O  0.0291  0.5146  0.2470 x18

Largest 12 diffraction maxima, by intensity, 2θ from 10° to 80°:
two_theta, I (rel.), h k l
18.34, 100, 1 0 1
42.90, 50, 0 2 4
35.37, 32, 1 1 3
34.88, 21, 0 1 5
61.65, 15, 2 0 8
62.93, 15, 2 2 0
37.16, 15, 2 0 2
56.77, 13, 1 2 5
47.41, 11, 2 1 1
57.11, 8, 0 3 3
64.60, 7, 1 1 9
79.18, 6, 4 0 4

=====

No. 2
Li2Ni3TeO8: simulated powder diffraction line list (Cu Kα), based on a crystal structure in the Materials Project, relaxed with PBE+U.

Structural model:
Cell: 5.8782 5.8782 9.5984 Å, 90.00 90.00 120.00°
Space group P6_3mc (No. 186)
Unique sites:
Li  0.0000  0.0000  0.0000 x2
Li  0.3333  0.6667  0.4187 x2
Ni  0.1709  0.3417  0.7258 x6
Te  0.3333  0.6667  0.9964 x2
O  0.0000  0.0000  0.3078 x2
O  0.0333  0.5167  0.8636 x6
O  0.1693  0.3387  0.1032 x6
O  0.3333  0.6667  0.6281 x2

Largest 12 diffraction maxima, by intensity, 2θ from 10° to 80°:
two_theta, I (rel.), h k l
19.74, 100, 1 0 1
35.83, 48, 1 1 2
33.07, 38, 1 0 3
36.52, 34, 2 0 1
45.54, 32, 2 0 3
25.51, 32, 1 0 2
60.40, 27, 2 0 5
63.28, 24, 2 2 0
55.75, 19, 2 1 3
40.10, 14, 2 0 2
52.40, 14, 2 0 4
57.62, 13, 3 0 2

=====

No. 3
Li2Ni3TeO8: simulated powder diffraction line list (Cu Kα), based on a crystal structure in the Materials Project, relaxed with PBE+U.

Structural model:
Cell: 10.2805 5.8871 6.0695 Å, 90.00 125.39 90.00°
Space group C2/m (No. 12)
Unique sites:
Li  0.1298  0.0000  0.4050 x4
Ni  0.0000  0.5000  0.0000 x2
Ni  0.2500  0.2500  0.0000 x4
Te  0.0000  0.5000  0.5000 x2
O  0.0127  0.2703  0.7478 x8
O  0.2327  0.5000  0.7314 x4
O  0.2404  0.5000  0.1879 x4

Largest 12 diffraction maxima, by intensity, 2θ from 10° to 80°:
two_theta, I (rel.), h k l
18.42, 100, 1 1 0
18.17, 58, 2 0 -1
42.80, 52, 2 2 -2
35.53, 36, 3 1 0
43.18, 25, 4 0 0
34.82, 23, 1 1 -2
62.09, 16, 2 2 2
37.33, 16, 2 2 0
62.75, 16, 6 2 -2
35.07, 15, 3 1 -2
57.09, 11, 5 1 0
36.31, 9, 0 0 2

=====

No. 4
Li2Ni3TeO8: simulated powder diffraction line list (Cu Kα), based on a crystal structure in the Materials Project, relaxed with PBE+U.

Structural model:
Cell: 10.1118 6.0027 6.1764 Å, 90.00 127.31 90.00°
Space group C2/m (No. 12)
Unique sites:
Li  0.0000  0.0000  0.0000 x2
Li  0.0000  0.5000  0.0000 x2
Ni  0.0000  0.0000  0.5000 x2
Ni  0.2500  0.2500  0.0000 x4
Te  0.0000  0.5000  0.5000 x2
O  0.0079  0.2670  0.7321 x8
O  0.2409  0.5000  0.7512 x4
O  0.2490  0.0000  0.8145 x4

Largest 12 diffraction maxima, by intensity, 2θ from 10° to 80°:
two_theta, I (rel.), h k l
18.16, 100, 2 0 -1
41.98, 37, 2 2 -2
35.04, 28, 0 2 1
45.09, 16, 4 0 0
36.46, 15, 2 0 1
55.36, 11, 4 2 -3
37.39, 11, 2 2 0
47.88, 10, 4 2 -1
63.15, 10, 2 2 2
63.44, 9, 6 2 -2
36.79, 8, 4 0 -2
18.44, 7, 1 1 0

=====

No. 5
Li2Ti3NiO8: simulated powder diffraction line list (Cu Kα), based on a crystal structure in the Materials Project, relaxed with PBE+U.

Structural model:
Cell: 5.9408 5.9408 9.6979 Å, 90.00 90.00 120.00°
Space group P6_3mc (No. 186)
Unique sites:
Li  0.0000  0.0000  0.0000 x2
Li  0.3333  0.6667  0.3890 x2
Ti  0.1688  0.3376  0.7158 x6
Ni  0.3333  0.6667  0.9905 x2
O  0.0000  0.0000  0.3159 x2
O  0.0367  0.5183  0.8311 x6
O  0.1592  0.3184  0.1078 x6
O  0.3333  0.6667  0.6046 x2

Largest 12 diffraction maxima, by intensity, 2θ from 10° to 80°:
two_theta, I (rel.), h k l
19.53, 100, 1 0 1
35.44, 61, 1 1 2
45.04, 52, 2 0 3
18.30, 46, 0 0 2
59.71, 43, 2 0 5
62.54, 39, 2 2 0
39.66, 37, 2 0 2
32.72, 36, 1 0 3
36.12, 36, 2 0 1
25.24, 33, 1 0 2
55.12, 21, 2 1 3
51.82, 20, 2 0 4

=====

No. 6
Li2Ti2NiO6: simulated powder diffraction line list (Cu Kα), based on a crystal structure in the Materials Project, relaxed with PBE+U.

Structural model:
Cell: 20.7518 8.9842 5.1050 Å, 90.00 90.00 90.00°
Space group Aem2 (No. 39)
Unique sites:
Li  0.0000  0.0000  0.0000 x4
Li  0.2500  0.0000  0.1698 x8
Li  0.5000  0.0000  0.0000 x4
Ti  0.1249  0.0892  0.0849 x8
Ti  0.3749  0.0892  0.5848 x8
Ni  0.1253  0.2500  0.5844 x4
Ni  0.3753  0.2500  0.0853 x4
O  0.0714  0.0680  0.7628 x8
O  0.0757  0.2500  0.2390 x4
O  0.1743  0.2500  0.9308 x4
O  0.1786  0.0680  0.4070 x8
O  0.3214  0.0679  0.9069 x8
O  0.3257  0.2500  0.4309 x4
O  0.4243  0.2500  0.7389 x4
O  0.4286  0.0679  0.2629 x8

Largest 12 diffraction maxima, by intensity, 2θ from 10° to 80°:
two_theta, I (rel.), h k l
17.09, 100, 4 0 0
43.74, 32, 6 3 1
35.82, 28, 2 3 1
56.92, 18, 10 3 1
63.52, 15, 2 3 3
39.34, 14, 4 0 2
50.14, 14, 8 0 2
38.95, 9, 4 3 1
35.16, 6, 0 0 2
64.82, 6, 4 6 0
73.69, 5, 14 3 1
65.16, 5, 12 0 2